# Mo2Ir9Rh
Calculated X-ray diffraction stick pattern, copper Kα. Input: a cell relaxed with GGA-PBE.
Lines closer than 0.1° are merged.

Cell and atoms:
```
data_Mo2Ir9Rh
_cell_length_a 4.9514
_cell_length_b 6.7379
_cell_length_c 6.9281
_cell_angle_alpha 61.37
_cell_angle_beta 70.35
_cell_angle_gamma 70.88
_symmetry_space_group_name_H-M 'P 1'
_symmetry_Int_Tables_number 1
loop_
_symmetry_equiv_pos_as_xyz
'x,y,z'
loop_
_atom_site_label
_atom_site_fract_x
_atom_site_fract_y
_atom_site_fract_z
_atom_site_occupancy
Mo1 0.0000 0.0000 0.0000 1
Mo2 0.2897 0.4576 0.2390 1
Ir1 0.1916 0.6129 0.8399 1
Ir2 0.1943 0.7654 0.3835 1
Ir3 0.4089 0.1352 0.0642 1
Ir4 0.5259 0.3695 0.6037 1
Ir5 0.6410 0.7847 0.4848 1
Ir6 0.6895 0.9271 0.7679 1
Ir7 0.7350 0.4570 0.8948 1
Ir8 0.7416 0.6320 0.1756 1
Ir9 0.8513 0.1775 0.3086 1
Rh1 0.1987 0.0948 0.5832 1
```

Principal peaks in the range 2θ from 10° to 90°, in order of falling intensity:
2θ/deg	d_spacing	Rel. int.
40.11	2.248	100
39.42	2.286	97
41.66	2.168	91
39.89	2.260	76
41.10	2.196	71
39.66	2.273	60
43.33	2.088	59
42.68	2.119	52
39.58	2.277	39
20.02	4.436	39
44.08	2.054	35
47.51	1.914	34

=====

# MoIr4Rh
Calculated X-ray diffraction stick pattern, copper Kα. Input: a cell relaxed with GGA-PBE.
Lines closer than 0.1° are merged.

Cell and atoms:
```
data_MoIr4Rh
_cell_length_a 6.1217
_cell_length_b 6.1217
_cell_length_c 3.8955
_cell_angle_alpha 90.00
_cell_angle_beta 90.00
_cell_angle_gamma 143.05
_symmetry_space_group_name_H-M 'P 1'
_symmetry_Int_Tables_number 1
loop_
_symmetry_equiv_pos_as_xyz
'x,y,z'
loop_
_atom_site_label
_atom_site_fract_x
_atom_site_fract_y
_atom_site_fract_z
_atom_site_occupancy
Mo1 0.0000 0.0000 0.0000 1
Ir1 0.1675 0.8325 0.5000 1
Ir2 0.3394 0.6606 0.0000 1
Ir3 0.6606 0.3394 0.0000 1
Ir4 0.8325 0.1675 0.5000 1
Rh1 0.5000 0.5000 0.5000 1
```

Principal peaks in the range 2θ from 10° to 90°, in order of falling intensity:
2θ/deg	d_spacing	Rel. int.
40.24	2.241	100
68.28	1.374	21
46.63	1.948	17
46.83	1.940	16
46.95	1.935	16
82.14	1.173	13
82.44	1.170	13
82.60	1.168	12
86.94	1.121	11
68.48	1.370	10
15.26	5.806	6
33.50	2.675	6

=====

# MoIr4Rh3
Calculated X-ray diffraction stick pattern, copper Kα. Input: a cell relaxed with GGA-PBE.
Lines closer than 0.1° are merged.

Cell and atoms:
```
data_MoIr4Rh3
_cell_length_a 7.3961
_cell_length_b 7.3961
_cell_length_c 7.3961
_cell_angle_alpha 158.74
_cell_angle_beta 121.71
_cell_angle_gamma 62.77
_symmetry_space_group_name_H-M 'P 1'
_symmetry_Int_Tables_number 1
loop_
_symmetry_equiv_pos_as_xyz
'x,y,z'
loop_
_atom_site_label
_atom_site_fract_x
_atom_site_fract_y
_atom_site_fract_z
_atom_site_occupancy
Mo1 0.0000 0.0000 0.0000 1
Ir1 0.1598 0.8490 0.3108 1
Ir2 0.4618 0.1510 0.3108 1
Ir3 0.5382 0.8490 0.6892 1
Ir4 0.8402 0.1510 0.6892 1
Rh1 0.1714 0.6714 0.5000 1
Rh2 0.5000 0.5000 0.0000 1
Rh3 0.8286 0.3286 0.5000 1
```

Principal peaks in the range 2θ from 10° to 90°, in order of falling intensity:
2θ/deg	d_spacing	Rel. int.
47.03	1.932	100
43.38	2.086	93
42.97	2.105	67
38.04	2.366	58
37.90	2.374	54
45.72	1.984	53
42.16	2.143	47
50.65	1.802	43
28.27	3.157	43
39.35	2.290	43
38.15	2.359	42
81.47	1.181	38

=====

# Ti5MoIr2Rh2
Calculated X-ray diffraction stick pattern, copper Kα. Input: a cell relaxed with GGA-PBE.
Lines closer than 0.1° are merged.

Cell and atoms:
```
data_Ti5MoIr2Rh2
_cell_length_a 10.5610
_cell_length_b 10.5610
_cell_length_c 2.9726
_cell_angle_alpha 90.00
_cell_angle_beta 90.00
_cell_angle_gamma 90.00
_symmetry_space_group_name_H-M 'P 1'
_symmetry_Int_Tables_number 1
loop_
_symmetry_equiv_pos_as_xyz
'x,y,z'
loop_
_atom_site_label
_atom_site_fract_x
_atom_site_fract_y
_atom_site_fract_z
_atom_site_occupancy
Ti1 0.0000 0.5000 0.0000 1
Ti2 0.1479 0.1489 0.0000 1
Ti3 0.1489 0.8521 0.0000 1
Ti4 0.3511 0.3521 0.0000 1
Ti5 0.3521 0.6489 0.0000 1
Ti6 0.5000 0.0000 0.0000 1
Ti7 0.6479 0.3511 0.0000 1
Ti8 0.6489 0.6479 0.0000 1
Ti9 0.8511 0.1479 0.0000 1
Ti10 0.8521 0.8511 0.0000 1
Mo1 0.0000 0.0000 0.5000 1
Mo2 0.5000 0.5000 0.5000 1
Ir1 0.1485 0.3514 0.5000 1
Ir2 0.3514 0.8514 0.5000 1
Ir3 0.6486 0.1485 0.5000 1
Ir4 0.8514 0.6486 0.5000 1
Rh1 0.1477 0.6477 0.5000 1
Rh2 0.3523 0.1477 0.5000 1
Rh3 0.6477 0.8523 0.5000 1
Rh4 0.8523 0.3523 0.5000 1
```

Principal peaks in the range 2θ from 10° to 90°, in order of falling intensity:
2θ/deg	d_spacing	Rel. int.
40.63	2.220	100
75.67	1.257	38
26.69	3.340	34
33.95	2.640	31
47.65	1.908	28
48.78	1.867	20
51.95	1.760	20
38.11	2.362	20
30.06	2.973	17
18.79	4.723	16
23.83	3.734	14
11.85	7.468	11

=====

# MoIrRu2
Calculated X-ray diffraction stick pattern, copper Kα. Input: a cell relaxed with GGA-PBE.
Lines closer than 0.1° are merged.

Cell and atoms:
```
data_MoIrRu2
_cell_length_a 2.7662
_cell_length_b 4.3861
_cell_length_c 4.7629
_cell_angle_alpha 90.00
_cell_angle_beta 90.00
_cell_angle_gamma 90.00
_symmetry_space_group_name_H-M 'P 1'
_symmetry_Int_Tables_number 1
loop_
_symmetry_equiv_pos_as_xyz
'x,y,z'
loop_
_atom_site_label
_atom_site_fract_x
_atom_site_fract_y
_atom_site_fract_z
_atom_site_occupancy
Mo1 0.0000 0.0000 0.0000 1
Ir1 0.5000 0.5000 0.1721 1
Ru1 0.0000 0.5000 0.6676 1
Ru2 0.5000 0.0000 0.5146 1
```

Principal peaks in the range 2θ from 10° to 90°, in order of falling intensity:
2θ/deg	d_spacing	Rel. int.
43.07	2.100	100
43.23	2.093	47
41.16	2.193	37
37.60	2.392	25
82.76	1.166	19
76.34	1.247	18
68.09	1.377	16
56.97	1.617	15
83.84	1.154	14
37.78	2.381	14
82.44	1.170	10
76.45	1.246	9

=====

# Mo9Ir11Ru4
Calculated X-ray diffraction stick pattern, copper Kα. Input: a cell relaxed with GGA-PBE.
Lines closer than 0.1° are merged.

Cell and atoms:
```
data_Mo9Ir11Ru4
_cell_length_a 2.7552
_cell_length_b 12.1181
_cell_length_c 12.1181
_cell_angle_alpha 116.65
_cell_angle_beta 90.00
_cell_angle_gamma 90.00
_symmetry_space_group_name_H-M 'P 1'
_symmetry_Int_Tables_number 1
loop_
_symmetry_equiv_pos_as_xyz
'x,y,z'
loop_
_atom_site_label
_atom_site_fract_x
_atom_site_fract_y
_atom_site_fract_z
_atom_site_occupancy
Mo1 0.0000 0.0000 0.0000 1
Mo2 0.0000 0.1571 0.7217 1
Mo3 0.0000 0.3432 0.5323 1
Mo4 0.0000 0.3655 0.9404 1
Mo5 0.0000 0.5323 0.3432 1
Mo6 0.0000 0.5685 0.7578 1
Mo7 0.0000 0.7217 0.1571 1
Mo8 0.0000 0.7578 0.5685 1
Mo9 0.0000 0.9404 0.3655 1
Ir1 0.5000 0.1456 0.5125 1
Ir2 0.5000 0.1632 0.9289 1
Ir3 0.5000 0.3410 0.3410 1
Ir4 0.5000 0.3594 0.7364 1
Ir5 0.5000 0.5125 0.1456 1
Ir6 0.5000 0.5558 0.5558 1
Ir7 0.5000 0.5717 0.9518 1
Ir8 0.5000 0.7364 0.3594 1
Ir9 0.5000 0.7807 0.7807 1
Ir10 0.5000 0.9289 0.1632 1
Ir11 0.5000 0.9518 0.5717 1
Ru1 0.0000 0.1349 0.3088 1
Ru2 0.0000 0.3088 0.1349 1
Ru3 0.0000 0.7717 0.9677 1
Ru4 0.0000 0.9677 0.7717 1
```

Principal peaks in the range 2θ from 10° to 90°, in order of falling intensity:
2θ/deg	d_spacing	Rel. int.
41.70	2.166	100
39.98	2.255	80
43.45	2.083	76
42.03	2.150	53
38.56	2.335	39
43.89	2.063	38
79.69	1.203	32
71.22	1.324	31
83.09	1.162	28
63.47	1.466	26
22.66	3.924	23
68.06	1.378	20

=====

# Mo6IrRu
Calculated X-ray diffraction stick pattern, copper Kα. Input: a cell relaxed with GGA-PBE.
Lines closer than 0.1° are merged.

Cell and atoms:
```
data_Mo6IrRu
_cell_length_a 4.9931
_cell_length_b 4.9931
_cell_length_c 4.9931
_cell_angle_alpha 90.00
_cell_angle_beta 90.00
_cell_angle_gamma 90.00
_symmetry_space_group_name_H-M 'P 1'
_symmetry_Int_Tables_number 1
loop_
_symmetry_equiv_pos_as_xyz
'x,y,z'
loop_
_atom_site_label
_atom_site_fract_x
_atom_site_fract_y
_atom_site_fract_z
_atom_site_occupancy
Mo1 0.0000 0.2508 0.5000 1
Mo2 0.0000 0.7492 0.5000 1
Mo3 0.2508 0.5000 0.0000 1
Mo4 0.5000 0.0000 0.2508 1
Mo5 0.5000 0.0000 0.7492 1
Mo6 0.7492 0.5000 0.0000 1
Ir1 0.0000 0.0000 0.0000 1
Ru1 0.5000 0.5000 0.5000 1
```

Principal peaks in the range 2θ from 10° to 90°, in order of falling intensity:
2θ/deg	d_spacing	Rel. int.
44.44	2.038	100
40.39	2.233	88
70.58	1.334	50
35.97	2.497	46
67.65	1.385	19
76.28	1.248	16
87.34	1.116	15
25.22	3.531	8
17.76	4.993	7
64.67	1.441	4
31.02	2.883	3
55.19	1.664	2

=====

# SiMoIrS2
Calculated X-ray diffraction stick pattern, copper Kα. Input: a cell relaxed with GGA-PBE.
Lines closer than 0.1° are merged.

Cell and atoms:
```
data_SiMoIrS2
_cell_length_a 4.4388
_cell_length_b 4.4388
_cell_length_c 4.5706
_cell_angle_alpha 90.00
_cell_angle_beta 90.00
_cell_angle_gamma 90.00
_symmetry_space_group_name_H-M 'P 1'
_symmetry_Int_Tables_number 1
loop_
_symmetry_equiv_pos_as_xyz
'x,y,z'
loop_
_atom_site_label
_atom_site_fract_x
_atom_site_fract_y
_atom_site_fract_z
_atom_site_occupancy
Si1 0.0000 0.0000 0.0000 1
Mo1 0.5000 0.5000 0.5000 1
Ir1 0.0000 0.0000 0.5000 1
S1 0.0000 0.5000 0.0000 1
S2 0.5000 0.0000 0.0000 1
```

Principal peaks in the range 2θ from 10° to 90°, in order of falling intensity:
2θ/deg	d_spacing	Rel. int.
34.67	2.587	100
28.44	3.139	49
40.65	2.219	44
19.42	4.571	34
57.92	1.592	30
20.00	4.439	27
70.13	1.342	25
39.43	2.285	24
49.33	1.847	22
45.43	1.996	17
73.16	1.294	15
58.84	1.569	15

=====

# Sb2MoIr
Calculated X-ray diffraction stick pattern, copper Kα. Input: a cell relaxed with GGA-PBE.
Lines closer than 0.1° are merged.

Cell and atoms:
```
data_Sb2MoIr
_cell_length_a 5.1561
_cell_length_b 5.1561
_cell_length_c 4.6116
_cell_angle_alpha 102.90
_cell_angle_beta 102.90
_cell_angle_gamma 38.75
_symmetry_space_group_name_H-M 'P 1'
_symmetry_Int_Tables_number 1
loop_
_symmetry_equiv_pos_as_xyz
'x,y,z'
loop_
_atom_site_label
_atom_site_fract_x
_atom_site_fract_y
_atom_site_fract_z
_atom_site_occupancy
Sb1 0.0000 0.0000 0.0000 1
Sb2 0.2440 0.2440 0.6062 1
Mo1 0.7315 0.7315 0.0950 1
Ir1 0.5088 0.5088 0.5039 1
```

Principal peaks in the range 2θ from 10° to 90°, in order of falling intensity:
2θ/deg	d_spacing	Rel. int.
35.65	2.519	100
40.59	2.222	84
40.26	2.240	54
38.08	2.363	52
32.94	2.719	32
47.19	1.926	22
69.09	1.359	21
53.58	1.710	20
48.95	1.861	20
67.61	1.386	19
63.65	1.462	18
68.57	1.369	18

=====

# SbMoIr2
Calculated X-ray diffraction stick pattern, copper Kα. Input: a cell relaxed with GGA-PBE.
Lines closer than 0.1° are merged.

Cell and atoms:
```
data_SbMoIr2
_cell_length_a 2.9529
_cell_length_b 3.9414
_cell_length_c 5.6546
_cell_angle_alpha 90.00
_cell_angle_beta 90.07
_cell_angle_gamma 90.00
_symmetry_space_group_name_H-M 'P 1'
_symmetry_Int_Tables_number 1
loop_
_symmetry_equiv_pos_as_xyz
'x,y,z'
loop_
_atom_site_label
_atom_site_fract_x
_atom_site_fract_y
_atom_site_fract_z
_atom_site_occupancy
Sb1 0.0000 0.0000 0.0000 1
Mo1 0.0000 0.0000 0.5000 1
Ir1 0.4996 0.5000 0.2658 1
Ir2 0.5004 0.5000 0.7342 1
```

Principal peaks in the range 2θ from 10° to 90°, in order of falling intensity:
2θ/deg	d_spacing	Rel. int.
38.08	2.363	100
39.21	2.297	90
44.36	2.042	63
65.86	1.418	39
46.06	1.971	29
76.73	1.242	25
78.91	1.213	22
22.56	3.941	13
79.92	1.200	12
62.95	1.476	11
81.45	1.182	11
80.64	1.191	11

=====

# MoIrSe4
Calculated X-ray diffraction stick pattern, copper Kα. Input: a cell relaxed with GGA-PBE.
Lines closer than 0.1° are merged.

Cell and atoms:
```
data_MoIrSe4
_cell_length_a 7.0578
_cell_length_b 7.0578
_cell_length_c 5.9622
_cell_angle_alpha 100.87
_cell_angle_beta 100.87
_cell_angle_gamma 28.82
_symmetry_space_group_name_H-M 'P 1'
_symmetry_Int_Tables_number 1
loop_
_symmetry_equiv_pos_as_xyz
'x,y,z'
loop_
_atom_site_label
_atom_site_fract_x
_atom_site_fract_y
_atom_site_fract_z
_atom_site_occupancy
Mo1 0.0000 0.0000 0.0000 1
Ir1 0.4963 0.4963 0.5970 1
Se1 0.0932 0.0932 0.4386 1
Se2 0.3991 0.3991 0.1858 1
Se3 0.6296 0.6296 0.9491 1
Se4 0.8690 0.8690 0.6606 1
```

Principal peaks in the range 2θ from 10° to 90°, in order of falling intensity:
2θ/deg	d_spacing	Rel. int.
13.20	6.705	100
34.19	2.622	60
35.81	2.507	24
47.61	1.910	21
42.84	2.111	15
29.75	3.004	14
52.99	1.728	13
52.06	1.757	10
30.57	2.924	10
15.15	5.848	9
46.07	1.970	9
64.80	1.439	8

=====

# Ta4Mo3Ir
Calculated X-ray diffraction stick pattern, copper Kα. Input: a cell relaxed with GGA-PBE.
Lines closer than 0.1° are merged.

Cell and atoms:
```
data_Ta4Mo3Ir
_cell_length_a 3.2365
_cell_length_b 4.5541
_cell_length_c 9.0780
_cell_angle_alpha 90.00
_cell_angle_beta 90.00
_cell_angle_gamma 90.00
_symmetry_space_group_name_H-M 'P 1'
_symmetry_Int_Tables_number 1
loop_
_symmetry_equiv_pos_as_xyz
'x,y,z'
loop_
_atom_site_label
_atom_site_fract_x
_atom_site_fract_y
_atom_site_fract_z
_atom_site_occupancy
Ta1 0.0000 0.0000 0.0000 1
Ta2 0.0000 0.0000 0.5000 1
Ta3 0.0000 0.5000 0.2485 1
Ta4 0.0000 0.5000 0.7515 1
Mo1 0.5000 0.0000 0.2553 1
Mo2 0.5000 0.0000 0.7447 1
Mo3 0.5000 0.5000 0.0000 1
Ir1 0.5000 0.5000 0.5000 1
```

Principal peaks in the range 2θ from 10° to 90°, in order of falling intensity:
2θ/deg	d_spacing	Rel. int.
39.52	2.280	100
39.72	2.269	20
71.57	1.318	14
71.76	1.315	14
71.94	1.312	14
57.32	1.607	13
85.06	1.140	9
56.90	1.618	7
27.75	3.215	4
85.24	1.139	2
85.59	1.135	2
27.56	3.237	2